No. 1
Simulated XRD peak list of Cu4SnP10 for Cu Kα X-rays, from a crystal structure in the Materials Project, relaxed with PBE.

Cell and atoms:
Lattice parameters (Å, degrees): 7.2925 7.2925 17.8769 90.00 90.00 120.00
Space group R3m (No. 160, hexagonal axes)
Symmetry-distinct sites (fractional):
Cu1 0.0000 0.0000 0.0000 [3 per cell]
Cu2 0.1698 0.3396 0.2059 [9 per cell]
Sn1 0.0000 0.0000 0.4267 [3 per cell]
P1 0.0000 0.0000 0.8731 [3 per cell]
P2 0.0037 0.5019 0.3767 [9 per cell]
P3 0.0060 0.5030 0.4993 [9 per cell]
P4 0.1722 0.3443 0.3326 [9 per cell]

Main lines, in order of rising 2θ (2θ from 10° to 80°):
2θ/deg  I_rel  index
24.40  9  1 0 4
28.70  24  0 1 5
30.01  100  2 0 2
38.02  16  2 0 5
39.04  9  1 1 6
45.69  23  0 2 7
50.02  49  2 2 0
52.47  8  2 1 7
59.44  23  0 4 2
70.06  12  4 0 7



No. 2
Simulated XRD peak list of Cu4SnP10 for Cu Kα X-rays, from a crystal structure in the Materials Project, relaxed with PBE.

Cell and atoms:
Lattice parameters (Å, degrees): 10.7485 9.2975 5.6807 90.00 117.82 90.00
Space group Cm (No. 8)
Symmetry-distinct sites (fractional):
Cu1 0.0000 0.0000 0.0000 [2 per cell]
Cu2 0.1654 0.0000 0.5140 [2 per cell]
Cu3 0.4082 0.2496 0.8780 [4 per cell]
Sn1 0.3097 0.5000 0.1684 [2 per cell]
P1 0.1048 0.5000 0.4375 [2 per cell]
P2 0.1439 0.2050 0.1510 [4 per cell]
P3 0.1690 0.2614 0.5680 [4 per cell]
P4 0.2447 0.0000 0.0166 [2 per cell]
P5 0.3999 0.0000 0.4814 [2 per cell]
P6 0.4511 0.0000 0.9942 [2 per cell]
P7 0.4526 0.2696 0.5072 [4 per cell]

Main lines, in order of rising 2θ (2θ from 10° to 80°):
2θ/deg  I_rel  index
13.32  24  1 1 0
25.47  25  1 1 1
26.12  34  0 2 1
26.88  26  2 2 -1
31.37  23  2 0 1
31.58  34  2 0 -2
33.35  20  4 0 -1
37.16  20  2 2 -2
38.73  100  0 4 0
42.73  21  4 2 0



No. 3
Simulated XRD peak list of SrCuP for Cu Kα X-rays, from a crystal structure in the Materials Project, relaxed with PBE.

Cell and atoms:
Lattice parameters (Å, degrees): 4.1297 4.1297 8.5153 90.00 90.00 120.00
Space group P6_3/mmc (No. 194)
Symmetry-distinct sites (fractional):
Sr1 0.0000 0.0000 0.0000 [2 per cell]
Cu1 0.3333 0.6667 0.2500 [2 per cell]
P1 0.3333 0.6667 0.7500 [2 per cell]

Main lines, in order of rising 2θ (2θ from 10° to 80°):
2θ/deg  I_rel  index
24.90  7  1 0 0
27.04  9  1 0 1
32.70  100  1 0 2
40.58  3  1 0 3
42.46  15  0 0 4
43.84  40  1 1 0
55.76  21  2 0 2
62.68  26  1 1 4
71.52  10  1 0 6
73.50  18  2 1 2



No. 4
Simulated XRD peak list of ThCu2P2 for Cu Kα X-rays, from a crystal structure in the Materials Project, relaxed with PBE.

Cell and atoms:
Lattice parameters (Å, degrees): 4.0177 4.0177 6.4861 90.00 90.00 120.00
Space group P-3m1 (No. 164)
Symmetry-distinct sites (fractional):
Th1 0.0000 0.0000 0.0000 [1 per cell]
Cu1 0.3333 0.6667 0.3623 [2 per cell]
P1 0.3333 0.6667 0.7325 [2 per cell]

Main lines, in order of rising 2θ (2θ from 10° to 80°):
2θ/deg  I_rel  index
13.65  19  0 0 1
25.60  13  1 0 0
29.12  100  0 1 1
37.93  54  1 0 2
45.13  36  1 1 0
54.62  18  2 0 1
60.38  14  0 2 2
63.21  30  1 1 3
73.47  15  1 2 1
78.48  13  2 1 2